Theoretical X-ray diffraction stick pattern
Compound: TcRu2Rh
Radiation: copper Kα
Structure: a structure optimized by DFT (PBE)
Neutral-atom scattering factors, no anomalous dispersion.

The 5 most intense peaks (2θ from 10° to 80°), low angle first:
| d_spacing | 2theta | I_rel |
| --- | --- | --- |
| 2.221 | 40.62 | 100 |
| 2.208 | 40.86 | 33 |
| 1.921 | 47.33 | 64 |
| 1.361 | 69.01 | 20 |
| 1.355 | 69.34 | 20 |

Structure:
Lattice parameters (Å, degrees): 8.9721 8.9721 8.9721 17.45 17.45 17.45
Element x y z (fractional)
Tc (0.0000, 0.0000, 0.0000)
Ru (0.4987, 0.4987, 0.4987)
Ru (0.7500, 0.7500, 0.7500)
Rh (0.2501, 0.2501, 0.2501)